Entry 1:
This entry pairs a crystal structure of Li2TiCr3O8 with its simulated powder diffraction line list. Radiation: CuKα. Structure: a crystal structure in the Materials Project, relaxed with GGA+U.

Structure:
```
data_Li2TiCr3O8
_cell_length_a 8.398
_cell_length_b 8.398
_cell_length_c 8.398
_cell_angle_alpha 90.00
_cell_angle_beta 90.00
_cell_angle_gamma 90.00
_symmetry_space_group_name_H-M 'P 43 3 2'
_symmetry_Int_Tables_number 212
_symmetry_space_group_name_Hall 'P 4acd 2ab 3'
loop_
_atom_site_label
_atom_site_type_symbol
_atom_site_fract_x
_atom_site_fract_y
_atom_site_fract_z
Li1 Li 0.004 0.496 0.504
Ti1 Ti 0.125 0.875 0.375
Cr1 Cr 0.122 0.625 0.128
O1 O 0.108 0.387 0.118
O2 O 0.108 0.608 0.892
```

Largest 10 diffraction maxima, low angle first, 15 to 90 degrees two-theta:
2theta	intensity
18.30	100
35.45	45
37.09	8
43.09	56
47.18	9
56.98	20
62.57	33
65.79	13
78.99	8
81.93	7



Entry 2:
This entry pairs a crystal structure of Ba2Ca3Tl2Co4O12 with its simulated powder diffraction line list. Radiation: CuKα. Structure: a crystal structure in the Materials Project, relaxed with GGA+U.

Structure:
```
data_Ba2Ca3Tl2Co4O12
_cell_length_a 3.852
_cell_length_b 3.852
_cell_length_c 43.698
_cell_angle_alpha 90.00
_cell_angle_beta 90.00
_cell_angle_gamma 90.00
_symmetry_space_group_name_H-M 'I 4/m m m'
_symmetry_Int_Tables_number 139
_symmetry_space_group_name_Hall '-I 4 2'
loop_
_atom_site_label
_atom_site_type_symbol
_atom_site_fract_x
_atom_site_fract_y
_atom_site_fract_z
Ba1 Ba 0.000 0.000 0.159
Ca1 Ca 0.000 0.000 0.000
Ca2 Ca 0.000 0.000 0.075
Tl1 Tl 0.000 0.000 0.276
Co1 Co 0.000 0.000 0.390
Co2 Co 0.000 0.000 0.463
O1 O 0.000 0.000 0.228
O2 O 0.000 0.000 0.325
O3 O 0.000 0.500 0.037
O4 O 0.000 0.500 0.110
```

Largest 10 diffraction maxima, low angle first, 15 to 90 degrees two-theta:
2theta	intensity
27.21	64
29.60	87
32.38	39
32.87	100
33.15	24
47.17	67
50.35	20
55.33	19
56.70	29
78.52	19



Entry 3:
This entry pairs a crystal structure of CoP2O7 with its simulated powder diffraction line list. Radiation: CuKα. Structure: a crystal structure in the Materials Project, relaxed with GGA+U.

Structure:
```
data_CoP2O7
_cell_length_a 6.337
_cell_length_b 6.426
_cell_length_c 13.230
_cell_angle_alpha 101.01
_cell_angle_beta 101.53
_cell_angle_gamma 99.14
_symmetry_space_group_name_H-M 'P -1'
_symmetry_Int_Tables_number 2
_symmetry_space_group_name_Hall '-P 1'
loop_
_atom_site_label
_atom_site_type_symbol
_atom_site_fract_x
_atom_site_fract_y
_atom_site_fract_z
Co1 Co 0.226 0.088 0.351
Co2 Co 0.262 0.627 0.854
P1 P 0.108 0.587 0.365
P2 P 0.223 0.243 0.136
P3 P 0.236 0.913 0.567
P4 P 0.345 0.169 0.932
O1 O 0.031 0.362 0.126
O2 O 0.091 0.697 0.482
O3 O 0.096 0.975 0.644
O4 O 0.131 0.511 0.698
O5 O 0.188 0.072 0.202
O6 O 0.212 0.110 0.019
O7 O 0.217 0.766 0.320
O8 O 0.234 0.323 0.877
O9 O 0.236 0.408 0.375
O10 O 0.279 0.088 0.504
O11 O 0.327 0.952 0.856
O12 O 0.415 0.727 0.010
O13 O 0.446 0.858 0.621
O14 O 0.450 0.394 0.175
```

Largest 10 diffraction maxima, low angle first, 15 to 90 degrees two-theta:
2theta	intensity
17.38	61
17.67	100
19.53	23
22.58	19
22.68	20
28.30	37
29.13	40
29.39	39
29.67	26
29.98	25



Entry 4:
This entry pairs a crystal structure of MgV4O10 with its simulated powder diffraction line list. Radiation: CuKα. Structure: a crystal structure in the Materials Project, relaxed with GGA+U.

Structure:
```
data_MgV4O10
_cell_length_a 6.605
_cell_length_b 3.726
_cell_length_c 7.377
_cell_angle_alpha 90.00
_cell_angle_beta 90.33
_cell_angle_gamma 90.00
_symmetry_space_group_name_H-M 'P 1 m 1'
_symmetry_Int_Tables_number 6
_symmetry_space_group_name_Hall 'P -2y'
loop_
_atom_site_label
_atom_site_type_symbol
_atom_site_fract_x
_atom_site_fract_y
_atom_site_fract_z
Mg1 Mg 0.000 0.000 0.000
V1 V 0.214 0.500 0.654
V2 V 0.293 0.000 0.318
V3 V 0.731 0.500 0.810
V4 V 0.824 0.000 0.474
O1 O 0.056 0.500 0.854
O2 O 0.168 0.000 0.600
O3 O 0.278 0.500 0.400
O4 O 0.296 0.000 0.091
O5 O 0.449 0.500 0.747
O6 O 0.587 0.000 0.392
O7 O 0.743 0.500 0.036
O8 O 0.776 0.000 0.748
O9 O 0.862 0.500 0.538
O10 O 0.978 0.000 0.281
```

Largest 10 diffraction maxima, low angle first, 15 to 90 degrees two-theta:
2theta	intensity
18.08	20
26.80	100
27.00	45
27.63	28
29.70	28
30.07	49
39.01	32
42.94	32
48.88	38
57.39	31



Entry 5:
This entry pairs a crystal structure of LiV2C4O12 with its simulated powder diffraction line list. Radiation: CuKα. Structure: a crystal structure in the Materials Project, relaxed with GGA+U.

Structure:
```
data_LiV2C4O12
_cell_length_a 9.393
_cell_length_b 10.103
_cell_length_c 10.325
_cell_angle_alpha 90.00
_cell_angle_beta 90.00
_cell_angle_gamma 90.00
_symmetry_space_group_name_H-M 'I 21 21 21'
_symmetry_Int_Tables_number 24
_symmetry_space_group_name_Hall 'I 2b 2c'
loop_
_atom_site_label
_atom_site_type_symbol
_atom_site_fract_x
_atom_site_fract_y
_atom_site_fract_z
Li1 Li 0.000 0.250 0.183
V1 V 0.000 0.250 0.481
V2 V 0.250 0.218 0.000
C1 C 0.021 0.452 0.034
C2 C 0.230 0.214 0.697
O1 O 0.075 0.432 0.479
O2 O 0.109 0.353 0.055
O3 O 0.113 0.069 0.039
O4 O 0.132 0.216 0.325
O5 O 0.144 0.204 0.598
O6 O 0.178 0.218 0.809
```

Largest 10 diffraction maxima, low angle first, 15 to 90 degrees two-theta:
2theta	intensity
17.18	98
17.56	100
22.58	58
25.64	18
25.90	16
33.48	31
33.89	23
34.74	14
42.20	18
47.06	13



Entry 6:
This entry pairs a crystal structure of FeOF with its simulated powder diffraction line list. Radiation: CuKα. Structure: a crystal structure in the Materials Project, relaxed with GGA+U.

Structure:
```
data_FeOF
_cell_length_a 14.190
_cell_length_b 3.092
_cell_length_c 14.227
_cell_angle_alpha 90.00
_cell_angle_beta 90.09
_cell_angle_gamma 90.00
_symmetry_space_group_name_H-M 'P 1 m 1'
_symmetry_Int_Tables_number 6
_symmetry_space_group_name_Hall 'P -2y'
loop_
_atom_site_label
_atom_site_type_symbol
_atom_site_fract_x
_atom_site_fract_y
_atom_site_fract_z
Fe1 Fe 0.000 0.000 0.000
Fe2 Fe 0.001 0.000 0.702
Fe3 Fe 0.011 0.000 0.345
Fe4 Fe 0.159 0.500 0.509
Fe5 Fe 0.161 0.500 0.184
Fe6 Fe 0.166 0.500 0.856
Fe7 Fe 0.340 0.000 0.005
Fe8 Fe 0.348 0.000 0.680
Fe9 Fe 0.350 0.000 0.339
Fe10 Fe 0.489 0.500 0.847
Fe11 Fe 0.491 0.500 0.169
Fe12 Fe 0.505 0.500 0.531
Fe13 Fe 0.663 0.000 0.029
Fe14 Fe 0.672 0.000 0.672
Fe15 Fe 0.679 0.000 0.345
Fe16 Fe 0.821 0.500 0.178
Fe17 Fe 0.822 0.500 0.515
Fe18 Fe 0.843 0.500 0.852
O1 O 0.064 0.500 0.954
O2 O 0.067 0.500 0.282
O3 O 0.102 0.000 0.451
O4 O 0.107 0.000 0.786
O5 O 0.233 0.000 0.914
O6 O 0.395 0.500 0.611
O7 O 0.402 0.500 0.284
O8 O 0.402 0.500 0.950
O9 O 0.427 0.000 0.117
O10 O 0.438 0.000 0.782
O11 O 0.567 0.000 0.582
O12 O 0.601 0.500 0.081
O13 O 0.733 0.500 0.283
O14 O 0.737 0.500 0.622
O15 O 0.768 0.000 0.452
O16 O 0.773 0.000 0.112
O17 O 0.893 0.000 0.916
O18 O 0.932 0.500 0.746
F1 F 0.067 0.500 0.618
F2 F 0.099 0.000 0.116
F3 F 0.229 0.000 0.579
F4 F 0.233 0.000 0.251
F5 F 0.261 0.500 0.086
F6 F 0.271 0.500 0.741
F7 F 0.272 0.500 0.415
F8 F 0.436 0.000 0.451
F9 F 0.565 0.000 0.250
F10 F 0.570 0.000 0.911
F11 F 0.598 0.500 0.412
F12 F 0.605 0.500 0.750
F13 F 0.728 0.500 0.946
F14 F 0.764 0.000 0.787
F15 F 0.900 0.000 0.249
F16 F 0.905 0.000 0.576
F17 F 0.937 0.500 0.413
F18 F 0.939 0.500 0.087
```

Largest 10 diffraction maxima, low angle first, 15 to 90 degrees two-theta:
2theta	intensity
26.62	100
34.64	55
39.67	17
52.34	44
52.41	15
54.83	16
59.81	10
66.42	10
66.60	22
85.48	7



Please write out number 3 again, unchanged.
This entry pairs a crystal structure of CoP2O7 with its simulated powder diffraction line list. Radiation: CuKα. Structure: a crystal structure in the Materials Project, relaxed with GGA+U.

Structure:
```
data_CoP2O7
_cell_length_a 6.337
_cell_length_b 6.426
_cell_length_c 13.230
_cell_angle_alpha 101.01
_cell_angle_beta 101.53
_cell_angle_gamma 99.14
_symmetry_space_group_name_H-M 'P -1'
_symmetry_Int_Tables_number 2
_symmetry_space_group_name_Hall '-P 1'
loop_
_atom_site_label
_atom_site_type_symbol
_atom_site_fract_x
_atom_site_fract_y
_atom_site_fract_z
Co1 Co 0.226 0.088 0.351
Co2 Co 0.262 0.627 0.854
P1 P 0.108 0.587 0.365
P2 P 0.223 0.243 0.136
P3 P 0.236 0.913 0.567
P4 P 0.345 0.169 0.932
O1 O 0.031 0.362 0.126
O2 O 0.091 0.697 0.482
O3 O 0.096 0.975 0.644
O4 O 0.131 0.511 0.698
O5 O 0.188 0.072 0.202
O6 O 0.212 0.110 0.019
O7 O 0.217 0.766 0.320
O8 O 0.234 0.323 0.877
O9 O 0.236 0.408 0.375
O10 O 0.279 0.088 0.504
O11 O 0.327 0.952 0.856
O12 O 0.415 0.727 0.010
O13 O 0.446 0.858 0.621
O14 O 0.450 0.394 0.175
```

Largest 10 diffraction maxima, low angle first, 15 to 90 degrees two-theta:
2theta	intensity
17.38	61
17.67	100
19.53	23
22.58	19
22.68	20
28.30	37
29.13	40
29.39	39
29.67	26
29.98	25



Repeat the first record exactly.
This entry pairs a crystal structure of Li2TiCr3O8 with its simulated powder diffraction line list. Radiation: CuKα. Structure: a crystal structure in the Materials Project, relaxed with GGA+U.

Structure:
```
data_Li2TiCr3O8
_cell_length_a 8.398
_cell_length_b 8.398
_cell_length_c 8.398
_cell_angle_alpha 90.00
_cell_angle_beta 90.00
_cell_angle_gamma 90.00
_symmetry_space_group_name_H-M 'P 43 3 2'
_symmetry_Int_Tables_number 212
_symmetry_space_group_name_Hall 'P 4acd 2ab 3'
loop_
_atom_site_label
_atom_site_type_symbol
_atom_site_fract_x
_atom_site_fract_y
_atom_site_fract_z
Li1 Li 0.004 0.496 0.504
Ti1 Ti 0.125 0.875 0.375
Cr1 Cr 0.122 0.625 0.128
O1 O 0.108 0.387 0.118
O2 O 0.108 0.608 0.892
```

Largest 10 diffraction maxima, low angle first, 15 to 90 degrees two-theta:
2theta	intensity
18.30	100
35.45	45
37.09	8
43.09	56
47.18	9
56.98	20
62.57	33
65.79	13
78.99	8
81.93	7